Structure and calculated powder diffraction line list of HoTm2Cd2 (a crystal structure in Alexandria, relaxed with GGA-PBE; CuKα).

Structure:
```
data_HoTm2Cd2
_cell_length_a 3.682
_cell_length_b 5.286
_cell_length_c 13.715
_cell_angle_alpha 90.00
_cell_angle_beta 97.73
_cell_angle_gamma 90.00
_symmetry_space_group_name_H-M 'P 1 21/m 1'
_symmetry_Int_Tables_number 11
_symmetry_space_group_name_Hall '-P 2yb'
loop_
_atom_site_label
_atom_site_type_symbol
_atom_site_fract_x
_atom_site_fract_y
_atom_site_fract_z
Ho1 Ho 0.150 0.250 0.299
Tm1 Tm 0.046 0.750 0.092
Tm2 Tm 0.236 0.750 0.473
Cd1 Cd 0.359 0.250 0.717
Cd2 Cd 0.450 0.750 0.899
```

The 10 most intense peaks (10 to 90 degrees two-theta), sorted by position:
two_theta	d [Å]	I (rel.)	hkl
32.95	2.718	18	0 0 5
33.94	2.641	100	0 2 0
48.01	1.895	13	0 2 5
49.51	1.841	7	2 0 -1
59.48	1.554	10	1 1 -8
60.73	1.525	21	1 3 2
61.37	1.511	7	2 2 -1
71.43	1.321	10	0 4 0
80.36	1.195	4	1 3 -8
82.64	1.168	6	3 1 -4